Structure and computed powder diffraction line list of Ba3Tl4Cd2 (a crystal structure in Alexandria, relaxed with PBE; Cu Kα).
Neutral-atom scattering factors, no anomalous dispersion.

Most intense lines, 15 to 90 degrees two-theta, most intense first:
33.54 deg, rel. 100
28.49 deg, rel. 56
28.72 deg, rel. 55
59.98 deg, rel. 18
21.02 deg, rel. 15
42.81 deg, rel. 11
44.77 deg, rel. 11
70.50 deg, rel. 11

Crystal structure
```
data_Ba3Tl4Cd2
_cell_length_a 12.4591
_cell_length_b 5.3434
_cell_length_c 10.2201
_cell_angle_alpha 90.00
_cell_angle_beta 112.85
_cell_angle_gamma 90.00
_space_group_name_H-M_alt 'C 1 2/m 1'
_space_group_IT_number 12
loop_
_space_group_symop_operation_xyz
'x,y,z'
'-x,-y,-z'
'-x,y,-z'
'x,-y,z'
'x+1/2,y+1/2,z'
'-x+1/2,-y+1/2,-z'
'-x+1/2,y+1/2,-z'
'x+1/2,-y+1/2,z'
loop_
_atom_site_label
_atom_site_fract_x
_atom_site_fract_y
_atom_site_fract_z
Ba1 0.0000 0.0000 0.0000
Ba2 0.1740 0.5000 0.6553
Tl1 0.0249 0.0000 0.3587
Tl2 0.2435 0.5000 0.0821
Cd1 0.0974 0.5000 0.2690
```